Computed X-ray powder pattern
Compound: NaUP2O8
Radiation: copper Kα
Structure: a cell relaxed with PBE
Intensities are scaled so that the largest is 100.

Peak list (10 most intense, 10 to 80 degrees two-theta, in order of falling intensity)
(1 0 1), 22.63°, 3.930 Å, rel. 100
(1 0 0), 18.81°, 4.717 Å, rel. 54
(1 0 2), 31.53°, 2.838 Å, rel. 49
(0 0 1), 12.46°, 7.106 Å, rel. 40
(1 1 0), 32.89°, 2.723 Å, rel. 32
(2 0 2), 46.20°, 1.965 Å, rel. 24
(1 1 2), 41.79°, 2.161 Å, rel. 21
(2 1 1), 52.95°, 1.729 Å, rel. 21
(1 2 2), 57.87°, 1.593 Å, rel. 16
(2 0 1), 40.29°, 2.238 Å, rel. 16

```
NaUP2O8
1.0
5.4464 0.0000 0.0000
-2.7232 4.7167 0.0000
0.0000 0.0000 7.1056
Na U P O
1 1 2 8
direct
0.0000 0.0000 0.0000
0.0000 0.0000 0.5000
0.3333 0.6667 0.2257
0.6667 0.3333 0.7743
0.1798 0.3596 0.3147
0.1798 0.8202 0.3147
0.3333 0.6667 0.0167
0.3596 0.1798 0.6853
0.6404 0.8202 0.3147
0.6667 0.3333 0.9833
0.8202 0.1798 0.6853
0.8202 0.6404 0.6853
```